For MnTlHg2, a DFT-relaxed cell (GGA-PBE, Alexandria) gives the theoretical X-ray powder pattern in this record (Cu Kα X-rays).

Atomic structure:
```
MnTlHg2
1.0
10.1602 0.0000 0.0000
0.0000 3.2773 0.0000
-3.3012 0.0000 5.8712
Mn Tl Hg
2 2 4
Direct
0.0000 0.0000 0.0000
0.5000 0.5000 0.0000
0.1993 0.5000 0.4241
0.6993 0.0000 0.4241
0.0216 0.5000 0.6767
0.3103 0.0000 0.0888
0.5216 0.0000 0.6767
0.8103 0.5000 0.0888
```

Most intense lines, 2θ from 10° to 90°, by angle:
h k l, two_theta, Rel. int.
2 0 -2, 27.0, 78.4
1 1 0, 29.1, 54.7
1 1 -1, 30.4, 67.0
2 0 1, 30.7, 100.0
1 1 1, 35.2, 90.2
4 0 -1, 35.6, 39.3
4 0 -2, 37.0, 37.5
3 1 -1, 38.2, 94.6
1 1 -2, 38.6, 63.9
3 1 -3, 49.9, 28.8